For SmAl3Au10, a structure optimized by DFT (PBE) gives the simulated powder XRD pattern in this record (Cu Kα (weighted mean of Kα1 and Kα2)).

Main lines, by angle (5 to 70 degrees two-theta):
- 2θ = 30.71°, I 33.3
- 2θ = 33.73°, I 17.6
- 2θ = 35.84°, I 100.0
- 2θ = 39.14°, I 19.7
- 2θ = 41.02°, I 49.6
- 2θ = 41.62°, I 12.1
- 2θ = 46.26°, I 13.0
- 2θ = 58.46°, I 11.7
- 2θ = 60.33°, I 25.7
- 2θ = 61.71°, I 14.0
- 2θ = 63.96°, I 11.6
- 2θ = 65.30°, I 14.8

Cell and atoms:
```
SmAl3Au10
1.0
0.0000 6.5092 6.5092
6.5092 0.0000 6.5092
6.5092 6.5092 0.0000
Sm Al Au
2 6 20
Cartesian
3.2546 3.2546 3.2546
9.7638 9.7638 9.7638
6.5092 6.5092 3.0681
6.5092 3.0681 6.5092
9.9503 6.5092 6.5092
3.0681 6.5092 6.5092
6.5092 9.9503 6.5092
6.5092 6.5092 9.9503
1.5187 1.5187 1.5187
4.9905 4.9905 1.5187
4.9905 1.5187 4.9905
6.5092 4.2729 4.2729
8.7456 6.5092 4.2729
8.7456 4.2729 6.5092
11.4997 8.0279 8.0279
4.2729 6.5092 4.2729
6.5092 8.7456 4.2729
4.2729 4.2729 6.5092
8.7456 8.7456 6.5092
6.5092 4.2729 8.7456
8.7456 6.5092 8.7456
1.5187 4.9905 4.9905
4.2729 8.7456 6.5092
4.2729 6.5092 8.7456
6.5092 8.7456 8.7456
8.0279 11.4997 8.0279
8.0279 8.0279 11.4997
11.4997 11.4997 11.4997
```

For Sm3Al8Au3, a structure optimized by DFT (PBE) gives the simulated powder XRD pattern in this record (Cu Kα (weighted mean of Kα1 and Kα2)).

Main lines, by angle (5 to 70 degrees two-theta):
- 2θ = 11.37°, I 51.9
- 2θ = 18.17°, I 34.6
- 2θ = 26.10°, I 29.0
- 2θ = 28.04°, I 40.7
- 2θ = 28.97°, I 100.0
- 2θ = 33.25°, I 25.3
- 2θ = 34.19°, I 35.2
- 2θ = 34.34°, I 44.5
- 2θ = 34.49°, I 37.8
- 2θ = 37.08°, I 27.4
- 2θ = 40.73°, I 41.1
- 2θ = 42.90°, I 27.1

Cell and atoms:
```
Sm3Al8Au3
1.0
8.0521 -2.2153 0.0000
8.0521 2.2153 0.0000
-5.8679 0.0000 7.8029
Sm Al Au
3 8 3
Cartesian
0.0000 0.0000 0.0000
3.0688 0.0000 2.3683
7.1675 0.0000 5.4346
-2.8148 0.0000 6.7012
-0.1766 0.0000 3.3010
-0.1865 0.0000 7.5327
6.2363 0.0000 2.3641
3.9999 0.0000 5.4388
10.4228 0.0000 0.2702
10.4129 0.0000 4.5019
13.0510 0.0000 1.1017
-2.9340 0.0000 3.9014
1.4251 0.0000 5.4983
8.8112 0.0000 2.3046
```

For Sm2AlSnAu6, a structure optimized by DFT (PBE) gives the simulated powder XRD pattern in this record (Cu Kα (weighted mean of Kα1 and Kα2)).

Main lines, by angle (5 to 70 degrees two-theta):
- 2θ = 9.36°, I 47.5
- 2θ = 18.77°, I 20.8
- 2θ = 28.03°, I 85.0
- 2θ = 32.11°, I 39.1
- 2θ = 32.39°, I 27.8
- 2θ = 36.49°, I 74.4
- 2θ = 37.53°, I 100.0
- 2θ = 38.70°, I 68.9
- 2θ = 41.95°, I 54.2
- 2θ = 42.28°, I 33.7
- 2θ = 43.69°, I 22.2
- 2θ = 56.79°, I 41.6

Cell and atoms:
```
Sm2AlSnAu6
1.0
5.7688 0.0000 0.0000
0.0000 8.6147 0.0000
0.0000 0.0000 9.4533
Sm Al Sn Au
4 2 2 12
Cartesian
1.4422 0.0841 2.3018
1.4422 4.2233 2.3018
4.3266 4.3914 7.1516
4.3266 8.5306 7.1516
1.4422 6.4610 7.0908
4.3266 2.1537 2.3625
1.4422 2.1537 7.4758
4.3266 6.4610 1.9775
0.0136 6.4610 9.1390
0.0386 2.1537 4.5166
1.4422 0.0701 5.7849
1.4422 4.2372 5.7849
2.8458 2.1537 4.5166
2.8708 6.4610 9.1390
2.8979 2.1537 0.3144
2.9230 6.4610 4.9367
4.3266 4.3774 3.6685
4.3266 8.5446 3.6685
5.7301 6.4610 4.9367
5.7552 2.1537 0.3144
```

Please write out number 1 again, unchanged.
For SmAl3Au10, a structure optimized by DFT (PBE) gives the simulated powder XRD pattern in this record (Cu Kα (weighted mean of Kα1 and Kα2)).

Main lines, by angle (5 to 70 degrees two-theta):
- 2θ = 30.71°, I 33.3
- 2θ = 33.73°, I 17.6
- 2θ = 35.84°, I 100.0
- 2θ = 39.14°, I 19.7
- 2θ = 41.02°, I 49.6
- 2θ = 41.62°, I 12.1
- 2θ = 46.26°, I 13.0
- 2θ = 58.46°, I 11.7
- 2θ = 60.33°, I 25.7
- 2θ = 61.71°, I 14.0
- 2θ = 63.96°, I 11.6
- 2θ = 65.30°, I 14.8

Cell and atoms:
```
SmAl3Au10
1.0
0.0000 6.5092 6.5092
6.5092 0.0000 6.5092
6.5092 6.5092 0.0000
Sm Al Au
2 6 20
Cartesian
3.2546 3.2546 3.2546
9.7638 9.7638 9.7638
6.5092 6.5092 3.0681
6.5092 3.0681 6.5092
9.9503 6.5092 6.5092
3.0681 6.5092 6.5092
6.5092 9.9503 6.5092
6.5092 6.5092 9.9503
1.5187 1.5187 1.5187
4.9905 4.9905 1.5187
4.9905 1.5187 4.9905
6.5092 4.2729 4.2729
8.7456 6.5092 4.2729
8.7456 4.2729 6.5092
11.4997 8.0279 8.0279
4.2729 6.5092 4.2729
6.5092 8.7456 4.2729
4.2729 4.2729 6.5092
8.7456 8.7456 6.5092
6.5092 4.2729 8.7456
8.7456 6.5092 8.7456
1.5187 4.9905 4.9905
4.2729 8.7456 6.5092
4.2729 6.5092 8.7456
6.5092 8.7456 8.7456
8.0279 11.4997 8.0279
8.0279 8.0279 11.4997
11.4997 11.4997 11.4997
```

Repeat the second record exactly.
For Sm3Al8Au3, a structure optimized by DFT (PBE) gives the simulated powder XRD pattern in this record (Cu Kα (weighted mean of Kα1 and Kα2)).

Main lines, by angle (5 to 70 degrees two-theta):
- 2θ = 11.37°, I 51.9
- 2θ = 18.17°, I 34.6
- 2θ = 26.10°, I 29.0
- 2θ = 28.04°, I 40.7
- 2θ = 28.97°, I 100.0
- 2θ = 33.25°, I 25.3
- 2θ = 34.19°, I 35.2
- 2θ = 34.34°, I 44.5
- 2θ = 34.49°, I 37.8
- 2θ = 37.08°, I 27.4
- 2θ = 40.73°, I 41.1
- 2θ = 42.90°, I 27.1

Cell and atoms:
```
Sm3Al8Au3
1.0
8.0521 -2.2153 0.0000
8.0521 2.2153 0.0000
-5.8679 0.0000 7.8029
Sm Al Au
3 8 3
Cartesian
0.0000 0.0000 0.0000
3.0688 0.0000 2.3683
7.1675 0.0000 5.4346
-2.8148 0.0000 6.7012
-0.1766 0.0000 3.3010
-0.1865 0.0000 7.5327
6.2363 0.0000 2.3641
3.9999 0.0000 5.4388
10.4228 0.0000 0.2702
10.4129 0.0000 4.5019
13.0510 0.0000 1.1017
-2.9340 0.0000 3.9014
1.4251 0.0000 5.4983
8.8112 0.0000 2.3046
```